Entry 1:
The following is a calculated powder diffractogram of ErPS4. It was derived from DFT lattice parameters and positions (GGA-PBE), using Cu Ka.

The 12 most intense peaks (2θ from 10° to 90°), sorted by position:
index  Position (°2θ)  d/Å  I/Imax
2 0 0  16.59  5.342  100
0 0 4  18.73  4.739  16
2 0 4  25.12  3.545  62
2 2 4  30.26  2.954  50
4 0 0  33.55  2.671  19
4 2 0  37.65  2.389  33
0 0 8  37.98  2.369  15
4 0 4  38.70  2.327  40
2 0 8  41.70  2.166  23
4 2 4  42.37  2.133  50
4 2 8  54.55  1.682  16
6 2 4  57.95  1.591  17

Structure:
```
data_ErPS4
_chemical_formula_sum 'Er16 P16 S64'
_cell_length_a 10.6846
_cell_length_b 10.6846
_cell_length_c 18.9552
_cell_angle_alpha 90.00
_cell_angle_beta 90.00
_cell_angle_gamma 90.00
_symmetry_space_group_name_H-M 'I 41/a c d'
_symmetry_Int_Tables_number 142
loop_
_symmetry_equiv_pos_as_xyz
'x,y,z'
'-x,-y,-z'
'-y+1/4,x+3/4,z+1/4'
'y+1/4,-x+3/4,-z+1/4'
'-x+1/2,-y,z+1/2'
'x+1/2,y,-z+1/2'
'y+1/4,-x+1/4,z+3/4'
'-y+1/4,x+1/4,-z+3/4'
'x,-y,-z+1/2'
'-x,y,z+1/2'
'-y+1/4,-x+1/4,-z+1/4'
'y+1/4,x+1/4,z+1/4'
'-x+1/2,y,-z'
'x+1/2,-y,z'
'y+1/4,x+3/4,-z+3/4'
'-y+1/4,-x+3/4,z+3/4'
'x+1/2,y+1/2,z+1/2'
'-x+1/2,-y+1/2,-z+1/2'
'-y+3/4,x+1/4,z+3/4'
'y+3/4,-x+1/4,-z+3/4'
'-x,-y+1/2,z'
'x,y+1/2,-z'
'y+3/4,-x+3/4,z+1/4'
'-y+3/4,x+3/4,-z+1/4'
'x+1/2,-y+1/2,-z'
'-x+1/2,y+1/2,z'
'-y+3/4,-x+3/4,-z+3/4'
'y+3/4,x+3/4,z+3/4'
'-x,y+1/2,-z+1/2'
'x,-y+1/2,z+1/2'
'y+3/4,x+1/4,-z+1/4'
'-y+3/4,-x+1/4,z+1/4'
loop_
_atom_site_label
_atom_site_type_symbol
_atom_site_fract_x
_atom_site_fract_y
_atom_site_fract_z
Er1 Er 0.0000 0.2500 0.1250
Er2 Er 0.0000 0.2500 0.3750
P1 P 0.0375 0.0000 0.2500
S1 S 0.0665 0.0047 0.8403
S2 S 0.0863 0.1131 0.0035
```

---

Entry 2:
The following is a calculated powder diffractogram of ErPSe3S. It was derived from DFT lattice parameters and positions (GGA-PBE), using Cu Ka.

The 12 most intense peaks (2θ from 10° to 90°), sorted by position:
index  Position (°2θ)  d/Å  I/Imax
0 0 1  11.23  7.878  100
0 1 -1  17.51  5.066  21
1 1 0  17.85  4.969  13
0 2 0  26.46  3.369  16
1 1 2  28.14  3.172  18
1 -1 2  29.98  2.981  13
2 0 -1  30.12  2.967  23
2 1 1  30.60  2.922  14
1 -2 0  31.16  2.871  22
1 0 3  36.22  2.480  16
1 2 -2  37.41  2.404  11
1 0 -4  48.97  1.860  12

Structure:
```
data_ErPSe3S
_chemical_formula_sum 'Er2 P2 Se6 S2'
_cell_length_a 6.5872
_cell_length_b 6.7797
_cell_length_c 7.8905
_cell_angle_alpha 88.43
_cell_angle_beta 86.97
_cell_angle_gamma 83.70
_symmetry_space_group_name_H-M 'P -1'
_symmetry_Int_Tables_number 2
loop_
_symmetry_equiv_pos_as_xyz
'x,y,z'
'-x,-y,-z'
loop_
_atom_site_label
_atom_site_type_symbol
_atom_site_fract_x
_atom_site_fract_y
_atom_site_fract_z
Er1 Er 0.2017 0.2066 0.0548
P1 P 0.3048 0.7573 0.8182
Se1 Se 0.1138 0.5092 0.7791
Se2 Se 0.3813 0.7743 0.0909
Se3 Se 0.4200 0.2540 0.3485
S1 S 0.0937 0.0022 0.7744
```

---

Entry 3:
The following is a calculated powder diffractogram of ErPSe2S2. It was derived from DFT lattice parameters and positions (GGA-PBE), using Cu Ka.

The 12 most intense peaks (2θ from 10° to 90°), sorted by position:
index  Position (°2θ)  d/Å  I/Imax
0 0 1  11.34  7.803  100
1 0 0  13.64  6.491  14
1 1 0  17.46  5.079  14
0 1 -1  17.58  5.045  18
1 -1 0  20.36  4.362  22
1 1 2  28.16  3.169  19
2 0 -1  30.22  2.958  20
1 2 -1  30.65  2.917  15
1 -2 0  31.60  2.831  13
0 2 2  34.63  2.590  18
1 0 3  36.72  2.447  24
2 1 -2  37.79  2.380  16

Structure:
```
data_ErPSe2S2
_chemical_formula_sum 'Er2 P2 Se4 S4'
_cell_length_a 6.5695
_cell_length_b 6.8418
_cell_length_c 7.8127
_cell_angle_alpha 88.15
_cell_angle_beta 87.61
_cell_angle_gamma 81.39
_symmetry_space_group_name_H-M 'P -1'
_symmetry_Int_Tables_number 2
loop_
_symmetry_equiv_pos_as_xyz
'x,y,z'
'-x,-y,-z'
loop_
_atom_site_label
_atom_site_type_symbol
_atom_site_fract_x
_atom_site_fract_y
_atom_site_fract_z
Er1 Er 0.2091 0.2009 0.0572
P1 P 0.3172 0.7599 0.8183
Se1 Se 0.0830 0.0211 0.7517
Se2 Se 0.1293 0.5163 0.7876
S1 S 0.3892 0.7881 0.0712
S2 S 0.4225 0.2676 0.3310
```

---

Entry 4:
The following is a calculated powder diffractogram of ErPSe2S2. It was derived from DFT lattice parameters and positions (GGA-PBE), using Cu Ka.

The 12 most intense peaks (2θ from 10° to 90°), sorted by position:
index  Position (°2θ)  d/Å  I/Imax
0 0 1  11.26  7.859  100
0 1 -1  17.61  5.037  66
1 -1 0  20.50  4.332  20
-1 1 1  23.60  3.770  17
1 1 2  28.15  3.170  24
2 0 -1  30.29  2.951  26
2 1 1  30.49  2.932  26
1 2 -1  30.88  2.896  19
1 -2 0  31.99  2.798  16
1 0 3  36.48  2.463  20
-2 1 2  40.52  2.226  16
1 0 -4  48.99  1.859  17

Structure:
```
data_ErPSe2S2
_chemical_formula_sum 'Er2 P2 Se4 S4'
_cell_length_a 6.5531
_cell_length_b 6.7476
_cell_length_c 7.8680
_cell_angle_alpha 88.51
_cell_angle_beta 87.50
_cell_angle_gamma 81.29
_symmetry_space_group_name_H-M 'P -1'
_symmetry_Int_Tables_number 2
loop_
_symmetry_equiv_pos_as_xyz
'x,y,z'
'-x,-y,-z'
loop_
_atom_site_label
_atom_site_type_symbol
_atom_site_fract_x
_atom_site_fract_y
_atom_site_fract_z
Er1 Er 0.2067 0.1987 0.0546
P1 P 0.3082 0.7623 0.8185
Se1 Se 0.1236 0.5129 0.7849
Se2 Se 0.4175 0.2612 0.3498
S1 S 0.0857 0.0092 0.7716
S2 S 0.3890 0.7838 0.0690
```

---

Entry 5:
The following is a calculated powder diffractogram of ErTe3PS. It was derived from DFT lattice parameters and positions (GGA-PBE), using Cu Ka.

The 12 most intense peaks (2θ from 10° to 90°), sorted by position:
index  Position (°2θ)  d/Å  I/Imax
0 0 1  11.22  7.887  100
0 1 -1  16.35  5.420  29
1 -1 0  17.23  5.147  32
0 2 0  25.13  3.544  30
1 1 -2  28.21  3.164  58
-1 1 2  28.41  3.142  32
2 0 1  28.92  3.088  56
-2 1 1  29.77  3.001  38
1 2 -1  30.55  2.927  49
2 1 1  32.68  2.740  31
1 0 -3  35.78  2.509  29
1 0 4  48.85  1.864  29

Structure:
```
data_ErTe3PS
_chemical_formula_sum 'Er2 Te6 P2 S2'
_cell_length_a 6.9264
_cell_length_b 7.1181
_cell_length_c 7.9120
_cell_angle_alpha 92.85
_cell_angle_beta 93.38
_cell_angle_gamma 94.32
_symmetry_space_group_name_H-M 'P -1'
_symmetry_Int_Tables_number 2
loop_
_symmetry_equiv_pos_as_xyz
'x,y,z'
'-x,-y,-z'
loop_
_atom_site_label
_atom_site_type_symbol
_atom_site_fract_x
_atom_site_fract_y
_atom_site_fract_z
Er1 Er 0.1962 0.2993 0.4450
Te1 Te 0.0880 0.0265 0.7421
Te2 Te 0.3773 0.7204 0.3861
Te3 Te 0.4112 0.2320 0.1196
P1 P 0.2977 0.7604 0.6900
S1 S 0.0988 0.5280 0.7209
```

---

Entry 6:
The following is a calculated powder diffractogram of Er2ScP3. It was derived from DFT lattice parameters and positions (GGA-PBE), using Cu Ka.

The 12 most intense peaks (2θ from 10° to 90°), sorted by position:
index  Position (°2θ)  d/Å  I/Imax
0 0 2  18.63  4.764  9
1 0 0  26.38  3.378  11
0 1 1  28.04  3.182  78
1 0 2  32.49  2.756  100
0 1 3  38.92  2.314  9
1 1 0  46.62  1.948  71
2 0 1  55.26  1.662  26
0 2 2  57.93  1.592  19
2 0 4  68.05  1.378  12
2 1 2  77.38  1.233  16
1 1 6  77.52  1.231  14
3 0 0  86.46  1.126  19

Structure:
```
data_Er2ScP3
_chemical_formula_sum 'Er2 Sc1 P3'
_cell_length_a 3.9005
_cell_length_b 3.9005
_cell_length_c 9.5279
_cell_angle_alpha 90.00
_cell_angle_beta 90.00
_cell_angle_gamma 120.00
_symmetry_space_group_name_H-M 'P -3 m 1'
_symmetry_Int_Tables_number 164
_symmetry_space_group_name_Hall '-P 3 2"'
loop_
_atom_site_label
_atom_site_type_symbol
_atom_site_fract_x
_atom_site_fract_y
_atom_site_fract_z
Er1 Er 0.3333 0.6667 0.3280
Sc1 Sc 0.0000 0.0000 0.0000
P1 P 0.0000 0.0000 0.5000
P2 P 0.3333 0.6667 0.8443
```

---

Entry 7:
The following is a calculated powder diffractogram of Er3PSe2. It was derived from DFT lattice parameters and positions (GGA-PBE), using Cu Ka.

The 12 most intense peaks (2θ from 10° to 90°), sorted by position:
index  Position (°2θ)  d/Å  I/Imax
0 0 3  27.04  3.298  9
1 0 1  27.24  3.274  30
0 1 2  31.49  2.841  100
1 0 4  45.01  2.014  34
1 1 0  45.27  2.003  37
1 1 3  53.52  1.712  8
2 0 2  56.19  1.637  19
0 2 4  65.75  1.420  11
1 1 6  74.54  1.273  14
1 2 2  74.92  1.268  16
2 1 4  83.42  1.159  12
3 0 0  83.61  1.157  6

Structure:
```
data_Er3PSe2
_chemical_formula_sum 'Er3 P1 Se2'
_cell_length_a 4.0063
_cell_length_b 4.0063
_cell_length_c 9.8940
_cell_angle_alpha 90.00
_cell_angle_beta 90.00
_cell_angle_gamma 120.00
_symmetry_space_group_name_H-M 'P -3 m 1'
_symmetry_Int_Tables_number 164
_symmetry_space_group_name_Hall '-P 3 2"'
loop_
_atom_site_label
_atom_site_type_symbol
_atom_site_fract_x
_atom_site_fract_y
_atom_site_fract_z
Er1 Er 0.0000 0.0000 0.0000
Er2 Er 0.3333 0.6667 0.6498
P1 P 0.0000 0.0000 0.5000
Se1 Se 0.3333 0.6667 0.1686
```

---

Entry 8:
The following is a calculated powder diffractogram of ErTl2P2Se7. It was derived from DFT lattice parameters and positions (GGA-PBE), using Cu Ka.

The 12 most intense peaks (2θ from 10° to 90°), sorted by position:
index  Position (°2θ)  d/Å  I/Imax
3 1 0  17.84  4.973  100
1 1 -4  22.99  3.868  34
0 2 0  25.32  3.518  49
2 0 4  26.12  3.412  76
7 1 -4  29.62  3.016  49
8 0 -4  30.00  2.979  59
4 2 0  30.57  2.925  58
2 2 -4  31.41  2.848  46
4 2 -4  32.10  2.788  85
6 2 0  36.12  2.486  60
6 0 -8  37.30  2.410  38
9 1 0  40.60  2.222  38

Structure:
```
data_ErTl2P2Se7
_chemical_formula_sum 'Er8 Tl16 P16 Se56'
_cell_length_a 24.1073
_cell_length_b 7.0396
_cell_length_c 19.4652
_cell_angle_alpha 90.00
_cell_angle_beta 119.03
_cell_angle_gamma 90.00
_symmetry_space_group_name_H-M 'C 1 2/c 1'
_symmetry_Int_Tables_number 15
loop_
_symmetry_equiv_pos_as_xyz
'x,y,z'
'-x,-y,-z'
'-x,y,-z+1/2'
'x,-y,z+1/2'
'x+1/2,y+1/2,z'
'-x+1/2,-y+1/2,-z'
'-x+1/2,y+1/2,-z+1/2'
'x+1/2,-y+1/2,z+1/2'
loop_
_atom_site_label
_atom_site_type_symbol
_atom_site_fract_x
_atom_site_fract_y
_atom_site_fract_z
Er1 Er 0.1607 0.0528 0.2392
Tl1 Tl 0.0031 0.4653 0.8707
Tl2 Tl 0.1722 0.0084 0.0204
P1 P 0.0472 0.0337 0.3061
P2 P 0.1701 0.4866 0.6421
Se1 Se 0.0235 0.0303 0.4011
Se2 Se 0.0979 0.2917 0.3013
Se3 Se 0.1018 0.2132 0.8016
Se4 Se 0.1021 0.2710 0.0911
Se5 Se 0.1089 0.2270 0.6110
Se6 Se 0.2245 0.4449 0.2708
Se7 Se 0.2393 0.4693 0.5986
```

---

Entry 9:
The following is a calculated powder diffractogram of Sm2ErP3. It was derived from DFT lattice parameters and positions (GGA-PBE), using Cu Ka.

The 10 most intense peaks (2θ from 10° to 90°), sorted by position:
index  Position (°2θ)  d/Å  I/Imax
0 1 1  26.90  3.315  85
1 0 2  31.16  2.871  100
1 1 0  44.64  2.030  73
2 0 1  52.89  1.731  42
0 2 2  55.44  1.657  26
2 0 4  64.97  1.435  12
1 2 1  71.65  1.317  17
2 1 2  73.81  1.284  33
3 0 0  82.26  1.172  25
3 0 3  88.49  1.105  13

Structure:
```
data_Sm2ErP3
_chemical_formula_sum 'Sm2 Er1 P3'
_cell_length_a 4.0611
_cell_length_b 4.0611
_cell_length_c 9.9383
_cell_angle_alpha 90.00
_cell_angle_beta 90.00
_cell_angle_gamma 120.00
_symmetry_space_group_name_H-M 'P -3 m 1'
_symmetry_Int_Tables_number 164
_symmetry_space_group_name_Hall '-P 3 2"'
loop_
_atom_site_label
_atom_site_type_symbol
_atom_site_fract_x
_atom_site_fract_y
_atom_site_fract_z
Sm1 Sm 0.3333 0.6667 0.3297
Er1 Er 0.0000 0.0000 0.0000
P1 P 0.0000 0.0000 0.5000
P2 P 0.3333 0.6667 0.8408
```

---

Entry 10:
The following is a calculated powder diffractogram of ErPd4Pb3. It was derived from DFT lattice parameters and positions (GGA-PBE), using Cu Ka.

The 12 most intense peaks (2θ from 10° to 90°), sorted by position:
index  Position (°2θ)  d/Å  I/Imax
1 1 -1  28.64  3.117  71
1 0 2  31.49  2.841  17
0 1 2  33.85  2.648  95
2 0 -1  34.15  2.626  82
1 1 -2  37.41  2.404  94
2 1 1  39.73  2.269  100
0 2 0  39.98  2.255  65
1 0 3  44.50  2.036  19
2 2 -1  53.57  1.711  46
1 2 3  61.31  1.512  25
4 0 0  65.04  1.434  21
4 2 0  79.15  1.210  25

Structure:
```
data_ErPd4Pb3
_chemical_formula_sum 'Er1 Pd4 Pb3'
_cell_length_a 5.7332
_cell_length_b 4.5103
_cell_length_c 6.5414
_cell_angle_alpha 90.00
_cell_angle_beta 90.19
_cell_angle_gamma 90.00
_symmetry_space_group_name_H-M 'P 1 m 1'
_symmetry_Int_Tables_number 6
loop_
_symmetry_equiv_pos_as_xyz
'x,y,z'
'x,-y,z'
loop_
_atom_site_label
_atom_site_type_symbol
_atom_site_fract_x
_atom_site_fract_y
_atom_site_fract_z
Er1 Er 0.0000 0.0000 0.0000
Pd1 Pd 0.2959 0.0000 0.6392
Pd2 Pd 0.4737 0.0000 0.1492
Pd3 Pd 0.7891 0.5000 0.2077
Pd4 Pd 0.9816 0.5000 0.7242
Pb1 Pb 0.2563 0.5000 0.3462
Pb2 Pb 0.4992 0.5000 0.8519
Pb3 Pb 0.7813 0.0000 0.5009
```

---

Entry 11:
The following is a calculated powder diffractogram of Er2TmPdPt2Pb3. It was derived from DFT lattice parameters and positions (GGA-PBE), using Cu Ka.

The 12 most intense peaks (2θ from 10° to 90°), sorted by position:
index  Position (°2θ)  d/Å  I/Imax
1 3 1  32.58  2.748  100
1 4 0  35.31  2.542  94
0 4 2  35.40  2.536  35
0 6 0  40.32  2.237  44
1 4 2  42.52  2.126  30
2 0 0  46.60  1.949  24
0 4 4  54.65  1.679  11
2 1 3  59.84  1.546  24
2 6 0  63.28  1.470  24
1 7 3  65.15  1.432  34
1 10 0  74.83  1.269  12
1 7 5  84.05  1.152  11

Structure:
```
data_Er2TmPdPt2Pb3
_chemical_formula_sum 'Er4 Tm2 Pd2 Pt4 Pb6'
_cell_length_a 3.8983
_cell_length_b 13.4149
_cell_length_c 7.7528
_cell_angle_alpha 90.00
_cell_angle_beta 90.00
_cell_angle_gamma 90.00
_symmetry_space_group_name_H-M 'A m m 2'
_symmetry_Int_Tables_number 38
loop_
_symmetry_equiv_pos_as_xyz
'x,y,z'
'-x,-y,z'
'-x,y,z'
'x,-y,z'
'x,y+1/2,z+1/2'
'-x,-y+1/2,z+1/2'
'-x,y+1/2,z+1/2'
'x,-y+1/2,z+1/2'
loop_
_atom_site_label
_atom_site_type_symbol
_atom_site_fract_x
_atom_site_fract_y
_atom_site_fract_z
Er1 Er 0.0000 0.2032 0.0000
Tm1 Tm 0.0000 0.0000 0.6097
Pd1 Pd 0.0000 0.0000 0.2038
Pt1 Pt 0.5000 0.1662 0.7028
Pb1 Pb 0.5000 0.0000 0.9403
Pb2 Pb 0.5000 0.1316 0.3346
```

---

Entry 12:
The following is a calculated powder diffractogram of YErPd2Pb. It was derived from DFT lattice parameters and positions (GGA-PBE), using Cu Ka.

The 12 most intense peaks (2θ from 10° to 90°), sorted by position:
index  Position (°2θ)  d/Å  I/Imax
0 1 3  27.63  3.228  20
1 1 1  33.13  2.704  100
1 0 4  34.61  2.591  49
0 0 6  36.17  2.483  18
0 1 5  36.84  2.439  51
1 1 3  37.38  2.406  15
0 2 0  42.56  2.124  28
1 1 5  44.85  2.021  21
2 0 0  50.60  1.804  17
1 2 4  55.98  1.643  25
2 1 5  64.22  1.450  20
2 2 0  68.21  1.375  14

Structure:
```
data_YErPd2Pb
_chemical_formula_sum 'Y2 Er2 Pd4 Pb2'
_cell_length_a 3.6076
_cell_length_b 4.2480
_cell_length_c 14.8992
_cell_angle_alpha 90.00
_cell_angle_beta 90.00
_cell_angle_gamma 90.00
_symmetry_space_group_name_H-M 'A m m 2'
_symmetry_Int_Tables_number 38
loop_
_symmetry_equiv_pos_as_xyz
'x,y,z'
'-x,-y,z'
'-x,y,z'
'x,-y,z'
'x,y+1/2,z+1/2'
'-x,-y+1/2,z+1/2'
'-x,y+1/2,z+1/2'
'x,-y+1/2,z+1/2'
loop_
_atom_site_label
_atom_site_type_symbol
_atom_site_fract_x
_atom_site_fract_y
_atom_site_fract_z
Y1 Y 0.0000 0.0000 0.0000
Er1 Er 0.0000 0.0000 0.2707
Pd1 Pd 0.5000 0.0000 0.4402
Pd2 Pd 0.5000 0.0000 0.8246
Pb1 Pb 0.5000 0.0000 0.6341
```